For LiAcHg, a GGA-PBE-relaxed structure gives the theoretical PXRD pattern in this record (Cu Kα (λ = 1.5418 Å)).
No peak broadening, texture or thermal motion is included.

Peak list (6 most intense, 10° ≤ 2θ ≤ 90°, low angle first)
- 20.33 deg, d = 4.369 Å, intensity 44, hkl 1 0 0
- 31.02 deg, d = 2.883 Å, intensity 100, hkl 1 0 1
- 35.59 deg, d = 2.522 Å, intensity 48, hkl 1 1 0
- 47.92 deg, d = 1.898 Å, intensity 31, hkl 2 0 1
- 60.64 deg, d = 1.527 Å, intensity 21, hkl 1 1 2
- 61.10 deg, d = 1.517 Å, intensity 30, hkl 2 1 1

Atomic structure:
```
LiAcHg
1.0
5.045 0.000 0.000
-2.522 4.369 0.000
0.000 0.000 3.838
Li Ac Hg
1 1 1
direct
0.000 0.000 0.000
0.667 0.333 0.500
0.333 0.667 0.000
```